Starting from a PBE-relaxed structure, the powder diffractogram of MgZn2 was computed for CuKα.
Intensities are scaled so that the largest is 100.

Largest 10 diffraction maxima, most intense first, 5° ≤ 2θ ≤ 70°:
2θ/deg	d (Å)	I_rel	h k l
40.0	2.253	100	3 1 1
42.1	2.147	39	0 2 1
38.5	2.336	39	0 0 2
19.5	4.555	38	2 0 0
34.9	2.572	20	3 1 0
37.2	2.417	14	0 2 0
46.8	1.942	14	2 2 1
65.6	1.424	13	3 3 0
57.5	1.602	11	5 1 1
53.0	1.729	11	3 1 2

Atomic structure:
```
MgZn2
1.0
9.110 0.000 0.000
0.000 4.835 0.000
0.000 0.000 4.672
Mg Zn
4 8
Direct
0.000 0.200 0.250
0.000 0.800 0.750
0.500 0.300 0.750
0.500 0.700 0.250
0.184 0.331 0.750
0.184 0.669 0.250
0.316 0.169 0.250
0.316 0.831 0.750
0.684 0.169 0.250
0.684 0.831 0.750
0.816 0.331 0.750
0.816 0.669 0.250
```

=====

Starting from a PBE-relaxed structure, the powder diffractogram of TaO2 was computed for CuKα.
Intensities are scaled so that the largest is 100.

Largest 9 diffraction maxima, most intense first, 5° ≤ 2θ ≤ 70°:
2θ/deg	d (Å)	I_rel	h k l
25.2	3.541	100	1 1 0
36.0	2.494	72	1 0 1
51.7	1.767	60	2 1 1
35.9	2.504	27	2 0 0
58.3	1.583	19	3 1 0
51.6	1.770	18	2 2 0
64.6	1.444	17	3 0 1
64.8	1.438	5	0 0 2
40.4	2.232	2	1 1 1

Atomic structure:
```
TaO2
1.0
5.007 0.000 0.000
0.000 5.007 0.000
0.000 0.000 2.876
Ta O
2 4
Direct
0.000 0.000 0.000
0.500 0.500 0.500
0.215 0.215 0.500
0.285 0.715 0.000
0.715 0.285 0.000
0.785 0.785 0.500
```

=====

Starting from a PBE-relaxed structure, the powder diffractogram of LiGePCO7 was computed for CuKα.
Intensities are scaled so that the largest is 100.

Largest 10 diffraction maxima, most intense first, 5° ≤ 2θ ≤ 70°:
2θ/deg	d (Å)	I_rel	h k l
10.3	8.596	100	0 0 1
17.6	5.046	70	0 1 1
28.6	3.116	56	0 2 0
21.1	4.211	47	1 0 1
26.1	3.409	38	1 0 -2
19.7	4.513	36	1 0 -1
22.7	3.923	25	1 1 0
40.1	2.249	17	1 1 3
35.6	2.524	14	2 0 0
47.3	1.922	14	1 0 4

Atomic structure:
```
LiGePCO7
1.0
5.066 0.000 0.000
0.000 6.233 0.000
-0.684 0.000 8.596
Li Ge P C O
2 2 2 2 14
Direct
0.228 0.000 0.317
0.772 0.500 0.683
0.211 0.274 0.837
0.789 0.774 0.163
0.265 0.779 0.931
0.735 0.279 0.069
0.275 0.278 0.566
0.725 0.778 0.434
0.039 0.280 0.626
0.127 0.785 0.085
0.180 0.584 0.830
0.196 0.974 0.826
0.314 0.256 0.428
0.429 0.272 0.023
0.468 0.296 0.683
0.532 0.796 0.317
0.571 0.772 0.977
0.686 0.756 0.572
0.804 0.474 0.174
0.820 0.084 0.170
0.873 0.285 0.915
0.961 0.780 0.374
```

=====

Starting from a PBE-relaxed structure, the powder diffractogram of NaH3O2 was computed for CuKα.
Intensities are scaled so that the largest is 100.

Largest 10 diffraction maxima, most intense first, 5° ≤ 2θ ≤ 70°:
2θ/deg	d (Å)	I_rel	h k l
14.9	5.958	100	0 2 0
30.0	2.979	52	0 4 0
36.1	2.491	51	2 2 -1
33.4	2.682	47	1 1 -2
39.9	2.260	39	1 3 -2
33.5	2.673	37	1 1 2
36.6	2.456	32	1 4 -1
36.2	2.484	29	2 2 1
30.2	2.960	26	2 1 0
35.9	2.499	23	1 2 -2

Atomic structure:
```
NaH3O2
1.0
6.112 0.000 0.000
0.000 11.916 0.000
-0.026 0.000 6.153
Na H O
8 24 16
Direct
0.206 0.053 0.368
0.206 0.447 0.868
0.290 0.553 0.364
0.290 0.947 0.864
0.710 0.053 0.136
0.710 0.447 0.636
0.794 0.553 0.132
0.794 0.947 0.632
0.059 0.634 0.777
0.059 0.866 0.277
0.113 0.130 0.935
0.113 0.370 0.435
0.123 0.704 0.071
0.123 0.796 0.571
0.377 0.202 0.082
0.377 0.298 0.582
0.394 0.629 0.924
0.394 0.871 0.424
0.442 0.129 0.793
0.442 0.371 0.293
0.558 0.629 0.707
0.558 0.871 0.207
0.606 0.129 0.576
0.606 0.371 0.076
0.623 0.702 0.418
0.623 0.798 0.918
0.877 0.204 0.429
0.877 0.296 0.929
0.887 0.630 0.565
0.887 0.870 0.065
0.941 0.134 0.723
0.941 0.366 0.223
0.046 0.624 0.614
0.046 0.876 0.114
0.141 0.624 0.035
0.141 0.876 0.535
0.361 0.123 0.046
0.361 0.377 0.546
0.450 0.120 0.629
0.450 0.380 0.129
0.550 0.620 0.871
0.550 0.880 0.371
0.639 0.623 0.454
0.639 0.877 0.954
0.859 0.124 0.465
0.859 0.376 0.965
0.954 0.124 0.886
0.954 0.376 0.386
```